Starting from a structure optimized by DFT (GGA-PBE), the X-ray diffraction stick pattern of CsK2BeAs2 was calculated for CuKα.
Neutral-atom scattering factors, no anomalous dispersion.

Crystal structure
a b c (Å): 8.456 13.402 7.423
angles (deg): 90.00 90.00 90.00
Space group Ibam (No. 72)
Inequivalent atoms, fractional coordinates:
Cs  0.000  0.000  0.250
K  0.180  0.310  0.000
Be  0.000  0.500  0.250
As  0.138  0.438  0.500

Most intense lines, 2θ from 10° to 80°, sorted by position:
2theta  intensity
13.21  89
22.51  20
24.90  29
27.07  100
31.14  49
31.53  36
32.09  28
32.46  45

Starting from a structure optimized by DFT (GGA-PBE), the X-ray diffraction stick pattern of CsBe2As2O6 was calculated for CuKα.
Neutral-atom scattering factors, no anomalous dispersion.

Crystal structure
a b c (Å): 5.030 6.419 6.703
angles (deg): 71.68 71.20 89.70
Space group P-1 (No. 2)
Inequivalent atoms, fractional coordinates:
Cs  0.000  0.000  0.000
Be  0.203  0.698  0.508
As  0.401  0.426  0.243
O  0.110  0.271  0.476
O  0.296  0.686  0.709
O  0.409  0.686  0.281

Most intense lines, 2θ from 10° to 80°, sorted by position:
2theta  intensity
22.57  100
22.70  89
24.10  61
25.08  76
28.28  87
28.56  74
29.43  89
35.78  45

Starting from a structure optimized by DFT (GGA-PBE), the X-ray diffraction stick pattern of CsRb2BeAs2 was calculated for CuKα.
Neutral-atom scattering factors, no anomalous dispersion.

Crystal structure
a b c (Å): 8.454 14.679 7.499
angles (deg): 90.00 90.00 90.00
Space group Ibam (No. 72)
Inequivalent atoms, fractional coordinates:
Cs  0.000  0.000  0.250
Rb  0.182  0.313  0.000
Be  0.000  0.500  0.250
As  0.135  0.447  0.500

Most intense lines, 2θ from 10° to 80°, sorted by position:
2theta  intensity
12.06  43
24.29  50
26.71  100
29.08  84
30.38  32
31.90  44
32.34  50
40.47  26

Starting from a structure optimized by DFT (GGA-PBE), the X-ray diffraction stick pattern of BeCu2As was calculated for CuKα.
Neutral-atom scattering factors, no anomalous dispersion.

Crystal structure
a b c (Å): 2.967 3.949 4.858
angles (deg): 90.00 107.46 90.00
Space group Pm (No. 6)
Inequivalent atoms, fractional coordinates:
Be  0.000  0.000  0.000
Cu  0.304  0.000  0.607
Cu  0.860  0.500  0.719
As  0.134  0.500  0.261

Most intense lines, 2θ from 10° to 80°, sorted by position:
2theta  intensity
19.15  50
22.52  32
38.86  32
39.20  100
45.38  56
45.97  46
48.26  60
48.49  58

Question: What is the formula in the second record?
Answer: CsBe2As2O6

Question: What is the formula in the first record?
Answer: CsK2BeAs2

Please write out number 1 again, unchanged.
Starting from a structure optimized by DFT (GGA-PBE), the X-ray diffraction stick pattern of CsK2BeAs2 was calculated for CuKα.
Neutral-atom scattering factors, no anomalous dispersion.

Crystal structure
a b c (Å): 8.456 13.402 7.423
angles (deg): 90.00 90.00 90.00
Space group Ibam (No. 72)
Inequivalent atoms, fractional coordinates:
Cs  0.000  0.000  0.250
K  0.180  0.310  0.000
Be  0.000  0.500  0.250
As  0.138  0.438  0.500

Most intense lines, 2θ from 10° to 80°, sorted by position:
2theta  intensity
13.21  89
22.51  20
24.90  29
27.07  100
31.14  49
31.53  36
32.09  28
32.46  45